Structure and computed XRD peak list of Pr2GeS5 (a structure optimized by DFT (GGA-PBE); a wavelength of 1.5418 Å).
Neutral-atom scattering factors, no anomalous dispersion.

Main lines, most intense first (10° ≤ 2θ ≤ 80°):
2θ/deg  d (Å)  intensity
23.40  3.801  100
33.45  2.679  78
29.90  2.988  70
32.96  2.718  30
19.47  4.559  30
25.06  3.554  29
38.33  2.349  27
42.89  2.109  26
16.31  5.435  25
43.16  2.096  24
21.06  4.218  22
47.27  1.923  21

Atomic structure:
a b c (Å): 5.653 5.653 6.618
angles (deg): 102.68 102.68 77.89
Atoms (fractional coordinates):
Pr (0.248, 0.248, 0.338)
Pr (0.752, 0.752, 0.662)
Ge (0.486, 0.514, 0.000)
S (0.108, 0.444, 0.940)
S (0.207, 0.793, 0.500)
S (0.556, 0.892, 0.060)
S (0.630, 0.284, 0.712)
S (0.716, 0.370, 0.288)

Structure and computed XRD peak list of Pr2GeS6 (a structure optimized by DFT (GGA-PBE); a wavelength of 1.5418 Å).
Neutral-atom scattering factors, no anomalous dispersion.

Main lines, most intense first (10° ≤ 2θ ≤ 80°):
2θ/deg  d (Å)  intensity
20.14  4.410  100
38.94  2.313  82
25.83  3.450  65
49.03  1.858  32
40.93  2.205  24
48.58  1.874  18
65.73  1.421  15
29.59  3.019  15
46.02  1.972  14
61.43  1.509  13
28.63  3.118  12
65.35  1.428  11

Atomic structure:
a b c (Å): 6.237 6.237 12.422
angles (deg): 90.00 90.00 90.00
Atoms (fractional coordinates):
Pr (0.000, 0.000, 0.168)
Pr (0.000, 0.000, 0.832)
Pr (0.500, 0.500, 0.332)
Pr (0.500, 0.500, 0.668)
Ge (0.000, 0.000, 0.500)
Ge (0.500, 0.500, 0.000)
S (0.182, 0.182, 0.358)
S (0.182, 0.182, 0.642)
S (0.225, 0.225, 0.000)
S (0.275, 0.725, 0.500)
S (0.318, 0.682, 0.142)
S (0.318, 0.682, 0.858)
S (0.682, 0.318, 0.142)
S (0.682, 0.318, 0.858)
S (0.725, 0.275, 0.500)
S (0.775, 0.775, 0.000)
S (0.818, 0.818, 0.358)
S (0.818, 0.818, 0.642)